[1]
For ReBRh3, DFT lattice parameters and positions (GGA-PBE) gives the simulated powder diffraction line list in this record (CuKα).

Structure:
```
5
Lattice="4.0816 0.0000 0.0000 0.0000 4.0816 0.0000 0.0000 0.0000 4.0816" Properties=species:S:1:pos:R:3 pbc="T T T"
Re 0.0000 0.0000 0.0000
B 2.0408 2.0408 2.0408
Rh 0.0000 2.0408 2.0408
Rh 2.0408 0.0000 2.0408
Rh 2.0408 2.0408 0.0000
```

Peak list (10 most intense, 2θ from 10° to 80°, by angle)
- 21.8°, d 4.082, rel. 6
- 31.0°, d 2.886, rel. 8
- 38.2°, d 2.356, rel. 100
- 44.4°, d 2.041, rel. 52
- 50.0°, d 1.825, rel. 3
- 55.1°, d 1.666, rel. 3
- 64.6°, d 1.443, rel. 34
- 69.0°, d 1.361, rel. 2
- 73.4°, d 1.291, rel. 1
- 77.6°, d 1.231, rel. 37

=====

[2]
For Sm2ReB10, DFT lattice parameters and positions (GGA-PBE) gives the simulated powder diffraction line list in this record (CuKα).

Structure:
```
26
Lattice="5.7840 0.0000 0.0000 0.0000 11.5096 0.0000 0.0000 0.0000 4.2058" Properties=species:S:1:pos:R:3 pbc="T T T"
Sm 1.2757 1.5386 0.0000
Sm 1.6162 7.2934 0.0000
Sm 4.1677 4.2161 0.0000
Sm 4.5082 9.9709 0.0000
Re 0.0000 5.7548 2.1029
Re 2.8920 0.0000 2.1029
B 0.3564 3.5367 2.1029
B 0.6948 11.0349 2.1029
B 0.7508 9.2373 2.1029
B 1.3059 4.3867 0.8444
B 1.3059 4.3867 3.3614
B 1.5861 10.1415 0.8444
B 1.5861 10.1415 3.3614
B 2.1412 3.4826 2.1029
B 2.1972 5.2801 2.1029
B 2.5356 9.2914 2.1029
B 3.2483 2.2181 2.1029
B 3.5868 6.2295 2.1029
B 3.6428 8.0270 2.1029
B 4.1979 1.3681 0.8444
B 4.1979 1.3681 3.3614
B 4.4781 7.1229 0.8444
B 4.4781 7.1229 3.3614
B 5.0331 2.2722 2.1029
B 5.0892 0.4747 2.1029
B 5.4276 7.9729 2.1029
```

Peak list (12 most intense, 2θ from 10° to 80°, by angle)
- 15.4°, d 5.755, rel. 27
- 17.2°, d 5.168, rel. 42
- 21.8°, d 4.080, rel. 70
- 26.2°, d 3.396, rel. 33
- 27.3°, d 3.262, rel. 64
- 27.9°, d 3.197, rel. 31
- 30.5°, d 2.928, rel. 100
- 37.8°, d 2.383, rel. 73
- 37.9°, d 2.375, rel. 78
- 43.0°, d 2.103, rel. 28
- 44.4°, d 2.040, rel. 47
- 48.7°, d 1.869, rel. 27

=====

[3]
For Sm3Re3B8, DFT lattice parameters and positions (GGA-PBE) gives the simulated powder diffraction line list in this record (CuKα).

Structure:
```
14
Lattice="-1.5725 4.6920 6.3594 1.5725 -4.6920 6.3594 1.5725 4.6920 -6.3594" Properties=species:S:1:pos:R:3 pbc="T T T"
Sm 0.0000 0.0000 0.0000
Sm 0.0000 0.0000 3.5597
Sm 0.0000 0.0000 9.1591
Re 1.5725 2.6604 0.0000
Re 0.0000 4.6920 0.0000
Re 0.0000 2.0316 6.3594
B 1.5725 1.6607 -1.9155
B 1.5725 -2.4724 4.6998
B 1.5725 1.6607 1.9155
B 0.0000 2.2196 1.6596
B 1.5725 2.4724 4.6998
B 0.0000 3.0313 4.4439
B 0.0000 7.1644 1.6596
B 0.0000 3.0313 8.2750
```

Peak list (12 most intense, 2θ from 10° to 80°, by angle)
- 11.7°, d 7.551, rel. 32
- 13.9°, d 6.359, rel. 80
- 23.6°, d 3.776, rel. 22
- 28.1°, d 3.180, rel. 70
- 30.0°, d 2.982, rel. 18
- 35.1°, d 2.559, rel. 78
- 38.4°, d 2.346, rel. 34
- 40.6°, d 2.224, rel. 100
- 43.2°, d 2.094, rel. 35
- 48.2°, d 1.888, rel. 27
- 58.7°, d 1.572, rel. 25
- 62.2°, d 1.492, rel. 38

=====

[4]
For Sr2ReB10, DFT lattice parameters and positions (GGA-PBE) gives the simulated powder diffraction line list in this record (CuKα).

Structure:
```
26
Lattice="5.8779 0.0000 0.0000 0.0000 11.7419 0.0000 0.0000 0.0000 4.2539" Properties=species:S:1:pos:R:3 pbc="T T T"
Sr 1.1426 1.6465 0.0000
Sr 1.7963 7.5175 0.0000
Sr 4.0816 4.2244 0.0000
Sr 4.7353 10.0954 0.0000
Re 0.0000 5.8710 2.1269
Re 2.9390 0.0000 2.1269
B 0.3125 3.6162 2.1269
B 0.7125 11.2378 2.1269
B 0.8346 9.4329 2.1269
B 1.2714 4.4879 0.8566
B 1.2714 4.4879 3.3973
B 1.6675 10.3588 0.8566
B 1.6675 10.3588 3.3973
B 2.1043 3.5620 2.1269
B 2.2265 5.3669 2.1269
B 2.6265 9.4871 2.1269
B 3.2515 2.2548 2.1269
B 3.6514 6.3751 2.1269
B 3.7736 8.1799 2.1269
B 4.2104 1.3831 0.8566
B 4.2104 1.3831 3.3973
B 4.6065 7.2541 0.8566
B 4.6065 7.2541 3.3973
B 5.0433 2.3090 2.1269
B 5.1654 0.5041 2.1269
B 5.5654 8.1258 2.1269
```

Peak list (12 most intense, 2θ from 10° to 80°, by angle)
- 15.1°, d 5.871, rel. 35
- 16.9°, d 5.256, rel. 54
- 25.9°, d 3.445, rel. 43
- 27.0°, d 3.307, rel. 82
- 27.4°, d 3.258, rel. 42
- 30.1°, d 2.972, rel. 42
- 34.1°, d 2.628, rel. 22
- 37.2°, d 2.417, rel. 100
- 42.5°, d 2.127, rel. 20
- 43.6°, d 2.077, rel. 29
- 56.8°, d 1.620, rel. 22
- 60.9°, d 1.522, rel. 21

=====

[5]
For ReTc5B3, DFT lattice parameters and positions (GGA-PBE) gives the simulated powder diffraction line list in this record (CuKα).

Structure:
```
18
Lattice="4.5264 -3.1576 0.0000 4.5264 3.1576 0.0000 -4.1199 0.0000 7.9390" Properties=species:S:1:pos:R:3 pbc="T T T"
Re 1.2385 0.0000 1.6478
Re 3.6943 0.0000 6.2913
Tc 3.3699 1.4359 0.7240
Tc 2.4664 1.9394 3.9695
Tc 0.2179 0.0000 3.9286
Tc -0.7864 0.0000 6.3454
Tc 1.5629 1.4359 7.2150
Tc 3.3699 -1.4359 0.7240
Tc 5.7192 0.0000 1.5936
Tc 4.7150 0.0000 4.0104
Tc 2.4664 -1.9394 3.9695
Tc 1.5629 -1.4359 7.2150
B 0.0000 0.0000 0.0000
B -2.9210 0.0000 5.7175
B 1.5795 0.0000 5.5254
B 2.4664 0.0000 3.9695
B 3.3533 0.0000 2.4136
B 7.8538 0.0000 2.2216
```

Peak list (12 most intense, 2θ from 10° to 80°, by angle)
- 23.7°, d 3.756, rel. 20
- 33.9°, d 2.646, rel. 42
- 36.2°, d 2.483, rel. 100
- 36.4°, d 2.471, rel. 34
- 38.5°, d 2.336, rel. 23
- 40.4°, d 2.235, rel. 18
- 41.0°, d 2.204, rel. 28
- 42.1°, d 2.145, rel. 22
- 42.2°, d 2.140, rel. 66
- 44.7°, d 2.029, rel. 18
- 54.1°, d 1.695, rel. 18
- 70.8°, d 1.330, rel. 19

=====

[6]
For Re2Tc2B, DFT lattice parameters and positions (GGA-PBE) gives the simulated powder diffraction line list in this record (CuKα).

Structure:
```
10
Lattice="3.4688 -3.4707 0.0000 3.4688 3.4707 0.0000 0.0000 0.0000 5.4738" Properties=species:S:1:pos:R:3 pbc="T T T"
Re 1.4257 0.2856 0.0000
Re 1.4257 -0.2856 2.7369
Re 5.5119 0.2856 2.7369
Re 5.5119 -0.2856 0.0000
Tc 3.1716 1.4340 3.7593
Tc 3.7661 1.4340 1.0224
Tc 3.1716 -1.4340 1.0224
Tc 3.7661 -1.4340 3.7593
B 1.7344 1.7354 1.8696
B 1.7344 -1.7354 4.6065
```

Peak list (12 most intense, 2θ from 10° to 80°, by angle)
- 25.7°, d 3.470, rel. 18
- 32.7°, d 2.737, rel. 16
- 36.6°, d 2.454, rel. 60
- 37.6°, d 2.390, rel. 13
- 41.1°, d 2.194, rel. 35
- 42.0°, d 2.149, rel. 100
- 44.5°, d 2.037, rel. 42
- 49.9°, d 1.827, rel. 12
- 53.5°, d 1.712, rel. 22
- 66.6°, d 1.404, rel. 16
- 71.4°, d 1.321, rel. 15
- 78.5°, d 1.218, rel. 19

=====

[7]
For ZnRe2BTe, DFT lattice parameters and positions (GGA-PBE) gives the simulated powder diffraction line list in this record (CuKα).

Structure:
```
5
Lattice="4.7554 0.0000 0.0000 0.0000 4.7554 0.0000 0.0000 0.0000 3.6058" Properties=species:S:1:pos:R:3 pbc="T T T"
Zn 0.0000 0.0000 0.0000
Re 0.0000 2.3777 0.0000
Re 2.3777 0.0000 0.0000
B 0.0000 0.0000 1.8029
Te 2.3777 2.3777 1.8029
```

Peak list (12 most intense, 2θ from 10° to 80°, by angle)
- 24.7°, d 3.606, rel. 35
- 26.5°, d 3.363, rel. 16
- 31.1°, d 2.873, rel. 30
- 36.5°, d 2.459, rel. 100
- 37.8°, d 2.378, rel. 81
- 45.7°, d 1.985, rel. 28
- 49.8°, d 1.832, rel. 16
- 50.6°, d 1.803, rel. 18
- 54.6°, d 1.681, rel. 28
- 64.9°, d 1.437, rel. 33
- 67.5°, d 1.388, rel. 34
- 77.7°, d 1.230, rel. 20

=====

[8]
For V5ReB2, DFT lattice parameters and positions (GGA-PBE) gives the simulated powder diffraction line list in this record (CuKα).

Structure:
```
8
Lattice="-1.5439 3.5731 4.1905 1.5439 -3.5731 4.1905 1.5439 3.5731 -4.1905" Properties=species:S:1:pos:R:3 pbc="T T T"
V 0.0000 0.0000 0.0000
V 1.5439 1.3464 -1.3366
V 1.5439 1.3464 1.3366
V 0.0000 2.2266 2.8540
V 0.0000 2.2266 5.5271
Re 0.0000 3.5731 0.0000
B 0.0000 0.0000 2.3935
B 0.0000 0.0000 5.9875
```

Peak list (12 most intense, 2θ from 10° to 80°, by angle)
- 16.3°, d 5.438, rel. 41
- 21.2°, d 4.191, rel. 23
- 31.6°, d 2.835, rel. 38
- 32.9°, d 2.719, rel. 71
- 34.5°, d 2.602, rel. 32
- 38.3°, d 2.348, rel. 16
- 39.3°, d 2.291, rel. 31
- 40.1°, d 2.250, rel. 100
- 43.7°, d 2.072, rel. 79
- 50.5°, d 1.807, rel. 30
- 53.3°, d 1.720, rel. 23
- 60.9°, d 1.521, rel. 16